For BiPPdAuN, the GGA-PBE geometry in Alexandria gives the calculated powder X-ray diffraction pattern in this record (Cu Kα, 1.54184 Å).

Atomic structure:
Cell lengths 15.832, 2.910, 4.355 Å; angles 90.00, 93.60, 90.00 degrees
Space group Cm (No. 8)
Symmetry-distinct sites (fractional):
Bi 0.000 0.000 0.000
P 0.248 0.000 0.451
Pd 0.166 0.500 0.088
Au 0.403 0.000 0.476
N 0.207 0.500 0.616

Top 8 peaks for 2θ = 10–90°, in order of rising 2θ:
11.20 deg, rel. 100, hkl 2 0 0
22.72 deg, rel. 62, hkl 2 0 -1
23.98 deg, rel. 38, hkl 2 0 1
35.24 deg, rel. 70, hkl 3 1 0
37.43 deg, rel. 42, hkl 1 1 -1
37.83 deg, rel. 62, hkl 1 1 1
38.86 deg, rel. 43, hkl 6 0 -1
41.58 deg, rel. 46, hkl 0 0 2


For TlCdF3, the GGA-PBE geometry in Alexandria gives the calculated powder X-ray diffraction pattern in this record (Cu Kα, 1.54184 Å).

Atomic structure:
Cell lengths 12.017, 4.429, 7.459 Å; angles 90.00, 98.42, 90.00 degrees
Space group C2/m (No. 12)
Symmetry-distinct sites (fractional):
Tl 0.120 0.000 0.387
Cd 0.133 0.500 0.916
F 0.057 0.500 0.178
F 0.172 0.500 0.636
F 0.173 0.000 0.970

Top 8 peaks for 2θ = 10–90°, in order of rising 2θ:
25.15 deg, rel. 100, hkl 1 1 1
26.50 deg, rel. 42, hkl 2 0 -2
30.07 deg, rel. 36, hkl 4 0 0
30.32 deg, rel. 23, hkl 2 0 2
31.37 deg, rel. 40, hkl 3 1 -1
40.74 deg, rel. 21, hkl 0 2 0
41.72 deg, rel. 27, hkl 1 1 -3
46.57 deg, rel. 25, hkl 5 1 1


For SmHfGa6, the GGA-PBE geometry in Alexandria gives the calculated powder X-ray diffraction pattern in this record (Cu Kα, 1.54184 Å).

Atomic structure:
Cell lengths 4.241, 4.241, 8.387 Å; angles 90.00, 90.00, 90.00 degrees
Space group P4/mmm (No. 123)
Symmetry-distinct sites (fractional):
Sm 0.000 0.000 0.000
Hf 0.000 0.000 0.500
Ga 0.000 0.500 0.263
Ga 0.500 0.500 0.000
Ga 0.500 0.500 0.500

Top 8 peaks for 2θ = 10–90°, in order of rising 2θ:
20.95 deg, rel. 11, hkl 1 0 0
36.85 deg, rel. 100, hkl 1 1 2
42.64 deg, rel. 33, hkl 2 0 0
43.14 deg, rel. 16, hkl 0 0 4
61.88 deg, rel. 11, hkl 2 2 0
62.27 deg, rel. 21, hkl 2 0 4
74.25 deg, rel. 25, hkl 3 1 2
74.96 deg, rel. 11, hkl 1 1 6


For Cu2AgS, the GGA-PBE geometry in Alexandria gives the calculated powder X-ray diffraction pattern in this record (Cu Kα, 1.54184 Å).

Atomic structure:
Cell lengths 5.934, 3.821, 11.062 Å; angles 90.00, 90.00, 90.00 degrees
Space group Pnna (No. 52)
Symmetry-distinct sites (fractional):
Cu 0.100 0.243 0.064
Ag 0.073 0.750 0.250
S 0.250 0.000 0.608

Top 8 peaks for 2θ = 10–90°, in order of rising 2θ:
16.96 deg, rel. 29, hkl 1 0 1
28.94 deg, rel. 15, hkl 1 1 1
37.12 deg, rel. 100, hkl 1 1 3
41.87 deg, rel. 54, hkl 2 1 2
43.66 deg, rel. 13, hkl 1 0 5
46.65 deg, rel. 20, hkl 3 0 1
47.59 deg, rel. 13, hkl 0 2 0
49.43 deg, rel. 14, hkl 0 0 6


For Tb2Nd7Er2, the GGA-PBE geometry in Alexandria gives the calculated powder X-ray diffraction pattern in this record (Cu Kα, 1.54184 Å).

Atomic structure:
Cell lengths 11.491, 11.537, 6.125 Å; angles 90.00, 112.03, 90.00 degrees
Space group C2/m (No. 12)
Symmetry-distinct sites (fractional):
Tb 0.227 0.000 0.090
Nd 0.000 0.000 0.500
Nd 0.076 0.500 0.300
Nd 0.182 0.232 0.680
Er 0.000 0.216 0.000

Top 8 peaks for 2θ = 10–90°, in order of rising 2θ:
25.29 deg, rel. 21, hkl 3 1 -1
30.39 deg, rel. 30, hkl 1 1 -2
31.00 deg, rel. 52, hkl 0 4 0
31.13 deg, rel. 100, hkl 2 2 1
31.30 deg, rel. 27, hkl 4 0 -1
33.50 deg, rel. 36, hkl 2 2 -2
33.63 deg, rel. 38, hkl 3 3 -1
49.59 deg, rel. 15, hkl 1 5 -2


For Nd2AlRu, the GGA-PBE geometry in Alexandria gives the calculated powder X-ray diffraction pattern in this record (Cu Kα, 1.54184 Å).

Atomic structure:
Cell lengths 3.617, 3.617, 7.291 Å; angles 90.00, 90.00, 90.00 degrees
Space group P4/mmm (No. 123)
Symmetry-distinct sites (fractional):
Nd 0.000 0.000 0.233
Al 0.500 0.500 0.500
Ru 0.500 0.500 0.000

Top 8 peaks for 2θ = 10–90°, in order of rising 2θ:
12.14 deg, rel. 21, hkl 0 0 1
24.61 deg, rel. 18, hkl 1 0 0
34.95 deg, rel. 100, hkl 1 0 2
35.09 deg, rel. 51, hkl 1 1 0
50.47 deg, rel. 18, hkl 2 0 0
62.58 deg, rel. 16, hkl 1 1 4
62.86 deg, rel. 36, hkl 2 1 2
84.72 deg, rel. 16, hkl 3 1 0